For Ca2Y3Si3O13, a structure optimized by DFT (GGA-PBE) gives the calculated X-ray diffraction stick pattern in this record (λ = 1.5418 Å (Cu Kα)).
No peak broadening, texture or thermal motion is included.

Peak list (10 most intense, 5 to 70 degrees two-theta, by angle)
21.71°, intensity 16, hkl 2 0 0
25.78°, intensity 34, hkl 0 2 0
28.02°, intensity 16, hkl 0 2 1
28.86°, intensity 16, hkl 1 0 2
31.68°, intensity 100, hkl 1 1 2
32.08°, intensity 27, hkl 2 2 -1
32.82°, intensity 24, hkl 3 0 0
46.56°, intensity 19, hkl 4 2 -2
49.31°, intensity 36, hkl 1 3 2
51.89°, intensity 16, hkl 0 2 4

Cell and atoms:
```
data_Ca2Y3Si3O13
_symmetry_space_group_name_H-M 'P 1 21/m 1'
_symmetry_Int_Tables_number 11
_cell_length_a 9.4428
_cell_length_b 6.9122
_cell_length_c 9.4440
_cell_angle_alpha 90.00
_cell_angle_beta 119.81
_cell_angle_gamma 90.00
loop_
_symmetry_equiv_pos_as_xyz
'x,y,z'
'-x,-y,-z'
'-x,y+1/2,-z'
'x,-y+1/2,z'
loop_
_atom_site_label
_atom_site_fract_x
_atom_site_fract_y
_atom_site_fract_z
Ca1 0.1689 0.0025 0.3354
Y1 0.2529 0.7500 0.9939
Y2 0.2564 0.2500 0.7521
Y3 0.4932 0.2500 0.2401
Si1 0.1078 0.2500 0.9768
Si2 0.1329 0.7500 0.6106
Si3 0.4775 0.7500 0.3681
O1 0.0240 0.7500 0.7003
O2 0.0268 0.7500 0.4111
O3 0.0918 0.7500 0.1162
O4 0.1670 0.0634 0.9097
O5 0.1992 0.2500 0.1749
O6 0.2587 0.5632 0.6691
O7 0.3240 0.2500 0.5254
O8 0.3848 0.7500 0.4755
O9 0.4104 0.5628 0.2423
O10 0.4990 0.2500 0.9983
```